1.
Diffraction record for Pr3PaRh4. The powder X-ray diffraction pattern is calculated, not measured: it uses a GGA-PBE-relaxed structure and CuKα.

Cell and atoms:
```
Pr3PaRh4
1.0
5.774 0.000 0.000
0.000 9.263 0.000
-3.696 0.000 7.064
Pr Pa Rh
6 2 8
Direct
0.000 0.119 0.250
0.000 0.881 0.750
0.500 0.131 0.750
0.500 0.376 0.250
0.500 0.624 0.750
0.500 0.869 0.250
0.000 0.379 0.750
0.000 0.621 0.250
0.157 0.387 0.471
0.157 0.613 0.971
0.172 0.152 0.960
0.172 0.848 0.460
0.828 0.152 0.540
0.828 0.848 0.040
0.843 0.387 0.029
0.843 0.613 0.529
```

Peak list (10 most intense, 10 to 80 degrees two-theta, in order of rising 2θ)
d [Å], 2θ/deg, I (rel.)
5.116, 17.33, 15
3.553, 25.06, 9
2.768, 32.34, 100
2.316, 38.89, 22
2.305, 39.08, 49
1.922, 47.28, 8
1.777, 51.44, 17
1.766, 51.77, 8
1.731, 52.88, 9
1.405, 66.58, 16

---

2.
Diffraction record for LaPmPd4. The powder X-ray diffraction pattern is calculated, not measured: it uses a GGA-PBE-relaxed structure and CuKα.

Cell and atoms:
```
LaPmPd4
1.0
2.150 -9.997 0.000
2.150 9.997 0.000
0.000 0.000 5.895
La Pm Pd
2 2 8
Direct
0.221 0.779 0.750
0.779 0.221 0.250
0.076 0.924 0.250
0.924 0.076 0.750
0.072 0.928 0.750
0.355 0.645 0.012
0.355 0.645 0.488
0.500 0.500 0.000
0.500 0.500 0.500
0.645 0.355 0.512
0.645 0.355 0.988
0.928 0.072 0.250
```

Peak list (10 most intense, 10 to 80 degrees two-theta, in order of rising 2θ)
d [Å], 2θ/deg, I (rel.)
3.081, 28.98, 21
2.414, 37.26, 100
2.379, 37.81, 99
2.208, 40.87, 50
2.150, 42.02, 38
1.906, 47.71, 18
1.540, 60.06, 32
1.300, 72.76, 21
1.286, 73.63, 14
1.253, 75.95, 24